Simulated powder diffraction line list of NpNbCo for Cu Kα (λ = 1.5418 Å), from a crystal structure in Alexandria, relaxed with GGA-PBE.
Lines closer than 0.1° are merged.

Peak list (10 most intense, 5° ≤ 2θ ≤ 70°, most intense first)
- 38.38°, intensity 100
- 11.96°, intensity 93
- 32.56°, intensity 46
- 37.36°, intensity 46
- 38.54°, intensity 43
- 52.59°, intensity 40
- 37.60°, intensity 39
- 34.18°, intensity 30
- 52.22°, intensity 26
- 44.09°, intensity 24

Atomic structure:
Lattice parameters (Å, degrees): 7.5975 7.5975 4.8646 98.13 98.13 20.21
Element x y z (fractional)
Np (0.0355, 0.0355, 0.2822)
Np (0.9645, 0.9645, 0.7178)
Nb (0.3390, 0.3390, 0.1745)
Nb (0.6610, 0.6610, 0.8255)
Co (0.3031, 0.3031, 0.6721)
Co (0.6969, 0.6969, 0.3279)